Structure and computed powder XRD pattern of Ca3Cu2NiP4O16 (a PBE+U-relaxed structure; copper Kα).
Lines closer than 0.1° are merged.

Crystal structure
abc: 9.0168 4.9432 14.8773
angles: 90.00 94.43 90.00
Space group P2_1 (No. 4)
Inequivalent atoms, fractional coordinates:
Ca 0.2119 0.0000 0.0152 x2
Ca 0.2494 0.9647 0.7491 x2
Ca 0.2877 0.9295 0.4844 x2
Cu 0.0768 0.4344 0.3714 x2
Cu 0.2508 0.9643 0.2506 x2
Ni 0.4294 0.4926 0.1283 x2
P 0.0944 0.4495 0.1566 x2
P 0.1258 0.4456 0.5912 x2
P 0.3739 0.4818 0.9082 x2
P 0.4064 0.4762 0.3441 x2
O 0.0022 0.3690 0.0702 x2
O 0.0068 0.4117 0.2411 x2
O 0.0377 0.0372 0.3988 x2
O 0.1374 0.1336 0.6081 x2
O 0.1569 0.7443 0.1490 x2
O 0.1696 0.4964 0.4916 x2
O 0.2378 0.2616 0.1655 x2
O 0.2398 0.6026 0.6513 x2
O 0.2603 0.3276 0.8471 x2
O 0.2610 0.6635 0.3342 x2
O 0.3299 0.4327 0.0071 x2
O 0.3463 0.1804 0.3511 x2
O 0.3678 0.7971 0.8914 x2
O 0.4630 0.8881 0.1013 x2
O 0.4937 0.5160 0.2601 x2
O 0.4968 0.5589 0.4306 x2

Main lines, by angle (10 to 80 degrees two-theta):
2θ/deg, d/Å, intensity, hkl
11.90, 7.437, 100, 1 0 1
27.14, 3.285, 68, 2 1 -1
31.16, 2.870, 51, 1 1 -4
32.36, 2.767, 30, 1 1 4
35.02, 2.563, 50, 3 1 0
36.35, 2.472, 36, 0 2 0